LiAc3Cu2S6: theoretical powder X-ray diffraction pattern (copper Kα), based on a structure optimized by DFT (GGA-PBE).
Kinematic intensities with the Lorentz-polarization factor, no thermal factor.

Crystal structure
Lattice parameters (Å, degrees): 7.0313 7.0313 6.9734 90.00 90.00 120.00
Space group P-3m1 (No. 164)
Inequivalent atoms, fractional coordinates:
Li 0.0000 0.0000 0.0000
Ac 0.0000 0.0000 0.5000
Ac 0.3333 0.6667 0.1178
Cu 0.3333 0.6667 0.6498
S 0.1695 0.3390 0.7942

Largest 10 diffraction maxima, in order of falling intensity, 2θ = 5–70°:
2θ (°), I_rel
25.33, 100
19.35, 80
29.52, 64
39.29, 52
32.08, 49
47.33, 36
52.02, 26
41.31, 25
44.64, 23
60.96, 17

Pd8Pb4S: theoretical powder X-ray diffraction pattern (copper Kα), based on a structure optimized by DFT (GGA-PBE).
Kinematic intensities with the Lorentz-polarization factor, no thermal factor.

Crystal structure
Lattice parameters (Å, degrees): 4.0498 4.1665 14.5247 90.00 90.00 90.00
Space group Pmm2 (No. 25)
Inequivalent atoms, fractional coordinates:
Pd 0.0000 0.0000 0.0000
Pd 0.0000 0.0000 0.2841
Pd 0.0000 0.5000 0.1507
Pd 0.0000 0.5000 0.5374
Pd 0.5000 0.0000 0.5374
Pd 0.5000 0.0000 0.8456
Pd 0.5000 0.5000 0.0011
Pd 0.5000 0.5000 0.6979
Pb 0.0000 0.0000 0.6811
Pb 0.0000 0.5000 0.8653
Pb 0.5000 0.0000 0.1365
Pb 0.5000 0.5000 0.3398
S 0.0000 0.0000 0.4469

Largest 10 diffraction maxima, in order of falling intensity, 2θ = 5–70°:
2θ (°), I_rel
36.07, 100
43.44, 20
44.76, 18
39.74, 15
64.14, 13
37.14, 11
24.63, 10
6.08, 9
43.62, 6
33.19, 6